# Dy6SbP2Se3
Simulated XRD peak list, a wavelength of 1.5418 Å. Input: a structure optimized by DFT (PBE).
Intensities are scaled so that the largest is 100.

Most intense lines, 2θ = 5–70°, in order of falling intensity:
Position (°2θ)  I_rel  hkl
30.72  100  1 1 -2
43.99  47  7 1 -2
26.63  14  3 1 0
26.42  14  4 0 -2
54.85  13  6 2 0
44.29  13  0 2 0
43.76  12  2 0 -4
54.39  12  8 0 -4

Atomic structure:
```
data_Dy6SbP2Se3
_chemical_formula_sum 'Dy12 Sb2 P4 Se6'
_cell_length_a 17.963
_cell_length_b 4.090
_cell_length_c 8.275
_cell_angle_alpha 90.00
_cell_angle_beta 103.38
_cell_angle_gamma 90.00
_symmetry_space_group_name_H-M 'C 1 2/m 1'
_symmetry_Int_Tables_number 12
loop_
_symmetry_equiv_pos_as_xyz
'x,y,z'
'-x,-y,-z'
'-x,y,-z'
'x,-y,z'
'x+1/2,y+1/2,z'
'-x+1/2,-y+1/2,-z'
'-x+1/2,y+1/2,-z'
'x+1/2,-y+1/2,z'
loop_
_atom_site_label
_atom_site_type_symbol
_atom_site_fract_x
_atom_site_fract_y
_atom_site_fract_z
Dy1 Dy 0.009 0.000 0.264
Dy2 Dy 0.172 0.500 0.108
Dy3 Dy 0.173 0.500 0.573
Sb1 Sb 0.000 0.500 0.000
P1 P 0.168 0.000 0.337
Se1 Se 0.000 0.500 0.500
Se2 Se 0.163 0.000 0.834
```

***

# Dy4SbTe2P
Simulated XRD peak list, a wavelength of 1.5418 Å. Input: a structure optimized by DFT (PBE).
Intensities are scaled so that the largest is 100.

Most intense lines, 2θ = 5–70°, in order of falling intensity:
Position (°2θ)  I_rel  hkl
29.48  100  1 1 1
42.35  24  3 1 -1
41.97  23  1 1 -3
52.68  13  2 2 -2
42.66  13  0 2 0
41.73  11  2 0 2
69.60  10  4 2 0
69.04  8  0 2 4

Atomic structure:
```
data_Dy4SbTe2P
_chemical_formula_sum 'Dy4 Sb1 Te2 P1'
_cell_length_a 7.410
_cell_length_b 4.239
_cell_length_c 7.498
_cell_angle_alpha 90.00
_cell_angle_beta 109.00
_cell_angle_gamma 90.00
_symmetry_space_group_name_H-M 'P 1 2/m 1'
_symmetry_Int_Tables_number 10
loop_
_symmetry_equiv_pos_as_xyz
'x,y,z'
'-x,-y,-z'
'-x,y,-z'
'x,-y,z'
loop_
_atom_site_label
_atom_site_type_symbol
_atom_site_fract_x
_atom_site_fract_y
_atom_site_fract_z
Dy1 Dy 0.222 0.000 0.217
Dy2 Dy 0.238 0.500 0.774
Sb1 Sb 0.500 0.000 0.000
Te1 Te 0.000 0.000 0.500
Te2 Te 0.500 0.500 0.500
P1 P 0.000 0.500 0.000
```

***

# Dy6Sb2Te3P
Simulated XRD peak list, a wavelength of 1.5418 Å. Input: a structure optimized by DFT (PBE).
Intensities are scaled so that the largest is 100.

Most intense lines, 2θ = 5–70°, in order of falling intensity:
Position (°2θ)  I_rel  hkl
29.31  100  1 1 -2
41.62  52  7 1 -2
29.14  48  6 0 0
41.95  35  5 1 2
42.29  19  0 2 0
52.18  19  6 2 0
68.35  13  3 1 -6
60.78  12  2 2 -4

Atomic structure:
```
data_Dy6Sb2Te3P
_chemical_formula_sum 'Dy12 Sb4 Te6 P2'
_cell_length_a 18.938
_cell_length_b 4.274
_cell_length_c 8.693
_cell_angle_alpha 90.00
_cell_angle_beta 103.83
_cell_angle_gamma 90.00
_symmetry_space_group_name_H-M 'C 1 2/m 1'
_symmetry_Int_Tables_number 12
loop_
_symmetry_equiv_pos_as_xyz
'x,y,z'
'-x,-y,-z'
'-x,y,-z'
'x,-y,z'
'x+1/2,y+1/2,z'
'-x+1/2,-y+1/2,-z'
'-x+1/2,y+1/2,-z'
'x+1/2,-y+1/2,z'
loop_
_atom_site_label
_atom_site_type_symbol
_atom_site_fract_x
_atom_site_fract_y
_atom_site_fract_z
Dy1 Dy 0.000 0.000 0.216
Dy2 Dy 0.149 0.500 0.079
Dy3 Dy 0.166 0.500 0.577
Sb1 Sb 0.167 0.000 0.332
Te1 Te 0.000 0.500 0.500
Te2 Te 0.171 0.000 0.837
P1 P 0.000 0.500 0.000
```

***

# DySc2P3
Simulated XRD peak list, a wavelength of 1.5418 Å. Input: a structure optimized by DFT (PBE).
Intensities are scaled so that the largest is 100.

Most intense lines, 2θ = 5–70°, in order of falling intensity:
Position (°2θ)  I_rel  hkl
32.99  100  1 0 3
47.24  87  2 0 0
28.42  62  0 1 3
32.82  51  0 2 0
17.99  45  0 1 1
58.81  35  2 2 0
15.40  31  0 0 2
32.47  26  1 1 2

Atomic structure:
```
data_DySc2P3
_chemical_formula_sum 'Dy2 Sc4 P6'
_cell_length_a 3.843
_cell_length_b 5.458
_cell_length_c 11.509
_cell_angle_alpha 90.00
_cell_angle_beta 90.00
_cell_angle_gamma 90.00
_symmetry_space_group_name_H-M 'I m m m'
_symmetry_Int_Tables_number 71
_symmetry_space_group_name_Hall '-I 2 2'
loop_
_atom_site_label
_atom_site_type_symbol
_atom_site_fract_x
_atom_site_fract_y
_atom_site_fract_z
Dy1 Dy 0.000 0.000 0.000
Sc1 Sc 0.000 0.000 0.335
P1 P 0.000 0.500 0.000
P2 P 0.000 0.500 0.325
```

***

# Dy2ScP3
Simulated XRD peak list, a wavelength of 1.5418 Å. Input: a structure optimized by DFT (PBE).
Intensities are scaled so that the largest is 100.

Most intense lines, 2θ = 5–70°, in order of falling intensity:
Position (°2θ)  I_rel  hkl
27.79  100  1 0 3
32.14  99  1 1 0
46.21  70  1 1 6
32.29  49  0 0 6
57.40  36  2 0 6
46.10  35  2 0 0
10.64  34  0 0 2
54.68  32  2 1 3

Atomic structure:
```
data_Dy2ScP3
_chemical_formula_sum 'Dy4 Sc2 P6'
_cell_length_a 3.938
_cell_length_b 3.938
_cell_length_c 16.634
_cell_angle_alpha 90.00
_cell_angle_beta 90.00
_cell_angle_gamma 90.00
_symmetry_space_group_name_H-M 'I 4/m m m'
_symmetry_Int_Tables_number 139
_symmetry_space_group_name_Hall '-I 4 2'
loop_
_atom_site_label
_atom_site_type_symbol
_atom_site_fract_x
_atom_site_fract_y
_atom_site_fract_z
Dy1 Dy 0.000 0.000 0.166
Sc1 Sc 0.000 0.000 0.500
P1 P 0.000 0.000 0.000
P2 P 0.000 0.000 0.338
```

***

# Dy8P4Se3
Simulated XRD peak list, a wavelength of 1.5418 Å. Input: a structure optimized by DFT (PBE).
Intensities are scaled so that the largest is 100.

Most intense lines, 2θ = 5–70°, in order of falling intensity:
Position (°2θ)  I_rel  hkl
31.48  100  0 4 0
45.14  91  4 4 -2
27.20  89  2 2 -2
31.56  50  4 0 -2
53.48  28  2 2 -4
56.15  19  4 4 -4
56.04  19  4 4 0
45.23  18  4 0 -4

Atomic structure:
```
data_Dy8P4Se3
_chemical_formula_sum 'Dy16 P8 Se6'
_cell_length_a 11.339
_cell_length_b 11.364
_cell_length_c 8.019
_cell_angle_alpha 90.00
_cell_angle_beta 134.83
_cell_angle_gamma 90.00
_symmetry_space_group_name_H-M 'C 1 2/m 1'
_symmetry_Int_Tables_number 12
loop_
_symmetry_equiv_pos_as_xyz
'x,y,z'
'-x,-y,-z'
'-x,y,-z'
'x,-y,z'
'x+1/2,y+1/2,z'
'-x+1/2,-y+1/2,-z'
'-x+1/2,y+1/2,-z'
'x+1/2,-y+1/2,z'
loop_
_atom_site_label
_atom_site_type_symbol
_atom_site_fract_x
_atom_site_fract_y
_atom_site_fract_z
Dy1 Dy 0.000 0.243 0.000
Dy2 Dy 0.000 0.244 0.500
Dy3 Dy 0.236 0.000 0.985
Dy4 Dy 0.242 0.000 0.489
P1 P 0.000 0.000 0.000
P2 P 0.000 0.000 0.500
P3 P 0.250 0.250 0.500
Se1 Se 0.000 0.500 0.000
Se2 Se 0.250 0.250 0.000
```

***

# Dy3PSe6
Simulated XRD peak list, a wavelength of 1.5418 Å. Input: a structure optimized by DFT (PBE).
Intensities are scaled so that the largest is 100.

Most intense lines, 2θ = 5–70°, in order of falling intensity:
Position (°2θ)  I_rel  hkl
35.33  100  3 1 2
24.12  92  2 2 1
15.97  69  1 1 1
36.12  67  0 4 2
33.74  63  3 3 1
41.30  54  3 5 0
24.48  46  1 3 1
62.95  22  6 4 2

Atomic structure:
```
data_Dy3PSe6
_chemical_formula_sum 'Dy12 P4 Se24'
_cell_length_a 11.008
_cell_length_b 13.608
_cell_length_c 7.289
_cell_angle_alpha 90.00
_cell_angle_beta 90.00
_cell_angle_gamma 90.00
_symmetry_space_group_name_H-M 'C m c 21'
_symmetry_Int_Tables_number 36
loop_
_symmetry_equiv_pos_as_xyz
'x,y,z'
'-x,-y,z+1/2'
'-x,y,z'
'x,-y,z+1/2'
'x+1/2,y+1/2,z'
'-x+1/2,-y+1/2,z+1/2'
'-x+1/2,y+1/2,z'
'x+1/2,-y+1/2,z+1/2'
loop_
_atom_site_label
_atom_site_type_symbol
_atom_site_fract_x
_atom_site_fract_y
_atom_site_fract_z
Dy1 Dy 0.000 0.101 0.000
Dy2 Dy 0.185 0.402 0.929
P1 P 0.000 0.307 0.343
Se1 Se 0.000 0.283 0.783
Se2 Se 0.000 0.468 0.209
Se3 Se 0.162 0.026 0.714
Se4 Se 0.167 0.237 0.198
```

***

# Dy4PSe3
Simulated XRD peak list, a wavelength of 1.5418 Å. Input: a structure optimized by DFT (PBE).
Intensities are scaled so that the largest is 100.

Most intense lines, 2θ = 5–70°, in order of falling intensity:
Position (°2θ)  I_rel  hkl
31.22  100  2 0 0
44.73  74  2 2 0
26.95  31  1 1 1
55.55  26  2 2 2
53.00  15  3 1 1
65.11  12  4 0 0
15.46  1  1 0 0
21.94  1  1 1 0

Atomic structure:
```
data_Dy4PSe3
_chemical_formula_sum 'Dy4 P1 Se3'
_cell_length_a 5.730
_cell_length_b 5.730
_cell_length_c 5.730
_cell_angle_alpha 90.00
_cell_angle_beta 90.00
_cell_angle_gamma 90.00
_symmetry_space_group_name_H-M 'P m -3 m'
_symmetry_Int_Tables_number 221
_symmetry_space_group_name_Hall '-P 4 2 3'
loop_
_atom_site_label
_atom_site_type_symbol
_atom_site_fract_x
_atom_site_fract_y
_atom_site_fract_z
Dy1 Dy 0.000 0.000 0.000
Dy2 Dy 0.000 0.500 0.500
P1 P 0.500 0.500 0.500
Se1 Se 0.000 0.000 0.500
```

***

# DyTlP2Se6
Simulated XRD peak list, a wavelength of 1.5418 Å. Input: a structure optimized by DFT (PBE).
Intensities are scaled so that the largest is 100.

Most intense lines, 2θ = 5–70°, in order of falling intensity:
Position (°2θ)  I_rel  hkl
33.88  100  0 0 4
28.87  93  0 2 2
30.16  86  2 1 1
24.82  85  0 2 1
34.65  61  0 2 3
29.62  60  2 1 -1
16.76  52  0 0 2
30.46  52  1 1 -3

Atomic structure:
```
data_DyTlP2Se6
_chemical_formula_sum 'Dy2 Tl2 P4 Se12'
_cell_length_a 6.832
_cell_length_b 7.627
_cell_length_c 10.584
_cell_angle_alpha 90.00
_cell_angle_beta 92.03
_cell_angle_gamma 90.00
_symmetry_space_group_name_H-M 'P 1 21 1'
_symmetry_Int_Tables_number 4
loop_
_symmetry_equiv_pos_as_xyz
'x,y,z'
'-x,y+1/2,-z'
loop_
_atom_site_label
_atom_site_type_symbol
_atom_site_fract_x
_atom_site_fract_y
_atom_site_fract_z
Dy1 Dy 0.216 0.000 0.002
Tl1 Tl 0.318 0.218 0.505
P1 P 0.194 0.730 0.288
P2 P 0.319 0.511 0.171
Se1 Se 0.066 0.309 0.836
Se2 Se 0.080 0.311 0.165
Se3 Se 0.157 0.635 0.477
Se4 Se 0.373 0.637 0.983
Se5 Se 0.400 0.916 0.749
Se6 Se 0.405 0.943 0.264
```

***

# TbDy5P6
Simulated XRD peak list, a wavelength of 1.5418 Å. Input: a structure optimized by DFT (PBE).
Intensities are scaled so that the largest is 100.

Most intense lines, 2θ = 5–70°, in order of falling intensity:
Position (°2θ)  I_rel  hkl
31.55  100  1 3 1
27.23  87  2 0 0
45.22  73  2 0 2
53.59  42  3 3 1
56.17  26  4 0 0
65.86  12  2 6 2

Atomic structure:
```
data_TbDy5P6
_chemical_formula_sum 'Tb2 Dy10 P12'
_cell_length_a 6.949
_cell_length_b 12.030
_cell_length_c 6.947
_cell_angle_alpha 90.00
_cell_angle_beta 109.49
_cell_angle_gamma 90.00
_symmetry_space_group_name_H-M 'C 1 2/m 1'
_symmetry_Int_Tables_number 12
loop_
_symmetry_equiv_pos_as_xyz
'x,y,z'
'-x,-y,-z'
'-x,y,-z'
'x,-y,z'
'x+1/2,y+1/2,z'
'-x+1/2,-y+1/2,-z'
'-x+1/2,y+1/2,-z'
'x+1/2,-y+1/2,z'
loop_
_atom_site_label
_atom_site_type_symbol
_atom_site_fract_x
_atom_site_fract_y
_atom_site_fract_z
Tb1 Tb 0.000 0.000 0.000
Dy1 Dy 0.000 0.167 0.500
Dy2 Dy 0.000 0.333 0.000
Dy3 Dy 0.000 0.500 0.500
P1 P 0.249 0.500 0.250
P2 P 0.250 0.167 0.250
```

***

# Dy3TeP2
Simulated XRD peak list, a wavelength of 1.5418 Å. Input: a structure optimized by DFT (PBE).
Intensities are scaled so that the largest is 100.

Most intense lines, 2θ = 5–70°, in order of falling intensity:
Position (°2θ)  I_rel  hkl
29.04  100  1 3 1
27.08  75  1 1 2
30.11  54  0 2 3
33.07  51  1 3 2
38.63  48  2 0 0
42.84  39  1 5 2
54.25  39  1 3 5
49.75  27  2 2 3

Atomic structure:
```
data_Dy3TeP2
_chemical_formula_sum 'Dy12 Te4 P8'
_cell_length_a 4.661
_cell_length_b 13.471
_cell_length_c 9.919
_cell_angle_alpha 90.00
_cell_angle_beta 90.00
_cell_angle_gamma 90.00
_symmetry_space_group_name_H-M 'C m c m'
_symmetry_Int_Tables_number 63
_symmetry_space_group_name_Hall '-C 2c 2'
loop_
_atom_site_label
_atom_site_type_symbol
_atom_site_fract_x
_atom_site_fract_y
_atom_site_fract_z
Dy1 Dy 0.000 0.092 0.250
Dy2 Dy 0.000 0.379 0.048
Te1 Te 0.000 0.235 0.750
P1 P 0.000 0.000 0.000
P2 P 0.000 0.493 0.750
```

***

# Dy5Te4P
Simulated XRD peak list, a wavelength of 1.5418 Å. Input: a structure optimized by DFT (PBE).
Intensities are scaled so that the largest is 100.

Most intense lines, 2θ = 5–70°, in order of falling intensity:
Position (°2θ)  I_rel  hkl
29.95  100  1 1 0
41.75  51  1 1 10
42.86  38  2 0 0
28.41  36  0 0 10
33.31  36  1 0 9
52.23  27  2 0 10
60.11  21  1 0 19
55.34  17  2 1 9

Atomic structure:
```
data_Dy5Te4P
_chemical_formula_sum 'Dy10 Te8 P2'
_cell_length_a 4.220
_cell_length_b 4.220
_cell_length_c 31.412
_cell_angle_alpha 90.00
_cell_angle_beta 90.00
_cell_angle_gamma 90.00
_symmetry_space_group_name_H-M 'I 4/m m m'
_symmetry_Int_Tables_number 139
_symmetry_space_group_name_Hall '-I 4 2'
loop_
_atom_site_label
_atom_site_type_symbol
_atom_site_fract_x
_atom_site_fract_y
_atom_site_fract_z
Dy1 Dy 0.000 0.000 0.000
Dy2 Dy 0.000 0.000 0.212
Dy3 Dy 0.000 0.000 0.415
Te1 Te 0.000 0.000 0.102
Te2 Te 0.000 0.000 0.310
P1 P 0.000 0.000 0.500
```